Ni2RhSe3: calculated powder XRD pattern (copper Kα), based on a GGA-PBE-relaxed structure.
Peak positions follow from Bragg's law for the DFT cell and can differ from measured ones.

Most intense lines, 10° ≤ 2θ ≤ 80°, low angle first:
d_spacing, intensity
6.166, 100
3.091, 22
2.811, 27
2.438, 20
2.372, 18
1.939, 15
1.870, 18
1.787, 19

Atomic structure:
Unit cell a=6.5952 b=3.5734 c=10.3285 alpha=90.00 beta=105.88 gamma=90.00
Sites, in units of the cell vectors:
Ni 0.0670 0.2500 0.4322
Ni 0.4005 0.7500 0.9101
Ni 0.5995 0.2500 0.0899
Ni 0.9330 0.7500 0.5678
Rh 0.2303 0.2500 0.7014
Rh 0.7697 0.7500 0.2986
Se 0.0424 0.7500 0.8001
Se 0.2958 0.7500 0.5312
Se 0.4063 0.7500 0.1398
Se 0.5937 0.2500 0.8602
Se 0.7042 0.2500 0.4688
Se 0.9576 0.2500 0.1999

AcTb4PmHo2: calculated powder XRD pattern (copper Kα), based on a GGA-PBE-relaxed structure.
Peak positions follow from Bragg's law for the DFT cell and can differ from measured ones.

Most intense lines, 10° ≤ 2θ ≤ 80°, low angle first:
d_spacing, intensity
2.953, 100
2.568, 17
2.553, 34
1.810, 24
1.805, 12
1.547, 15
1.540, 29
1.477, 12

Atomic structure:
Unit cell a=5.1078 b=5.1361 c=10.2055 alpha=90.00 beta=90.00 gamma=90.00
Sites, in units of the cell vectors:
Ac 0.0000 0.0000 0.0000
Tb 0.0000 0.5000 0.2564
Tb 0.0000 0.5000 0.7436
Tb 0.5000 0.0000 0.2575
Tb 0.5000 0.0000 0.7425
Pm 0.5000 0.5000 0.5000
Ho 0.0000 0.0000 0.5000
Ho 0.5000 0.5000 0.0000

Ca2Ac8Er: calculated powder XRD pattern (copper Kα), based on a GGA-PBE-relaxed structure.
Peak positions follow from Bragg's law for the DFT cell and can differ from measured ones.

Most intense lines, 10° ≤ 2θ ≤ 80°, low angle first:
d_spacing, intensity
4.079, 23
3.566, 28
3.118, 100
3.094, 78
2.970, 84
2.100, 30
1.744, 38
1.603, 29

Atomic structure:
Unit cell a=9.2242 b=9.2242 c=5.9442 alpha=90.00 beta=90.00 gamma=105.11
Sites, in units of the cell vectors:
Ca 0.1179 0.8821 0.0000
Ca 0.8821 0.1179 0.0000
Ac 0.1756 0.1756 0.5000
Ac 0.2016 0.4658 0.0000
Ac 0.2521 0.7479 0.5000
Ac 0.4658 0.2016 0.0000
Ac 0.5342 0.7984 0.0000
Ac 0.7479 0.2521 0.5000
Ac 0.7984 0.5342 0.0000
Ac 0.8244 0.8244 0.5000
Er 0.5000 0.5000 0.5000

RbTlCo3: calculated powder XRD pattern (copper Kα), based on a GGA-PBE-relaxed structure.
Peak positions follow from Bragg's law for the DFT cell and can differ from measured ones.

Most intense lines, 10° ≤ 2θ ≤ 80°, low angle first:
d_spacing, intensity
5.099, 70
3.606, 100
2.550, 91
2.280, 36
2.082, 46
1.803, 63
1.472, 21
1.363, 24

Atomic structure:
Unit cell a=5.0992 b=5.0992 c=5.0992 alpha=90.00 beta=90.00 gamma=90.00
Sites, in units of the cell vectors:
Rb 0.0000 0.0000 0.0000
Tl 0.5000 0.5000 0.5000
Co 0.0000 0.5000 0.5000
Co 0.5000 0.0000 0.5000
Co 0.5000 0.5000 0.0000